Theoretical PXRD pattern of CsScNiF6 for Cu Kα, from a cell relaxed with GGA+U.

```
CsScNiF6
1.0
-3.7313 3.8440 5.3433
3.7313 -3.8440 5.3433
3.7313 3.8440 -5.3433
Cs Sc Ni F
2 2 2 12
Direct
0.3548 0.1048 0.2500
0.6452 0.8952 0.7500
0.0000 0.5000 0.5000
0.5000 0.5000 0.0000
0.0000 0.0000 0.5000
0.0000 0.5000 0.0000
0.0634 0.4265 0.2451
0.0634 0.8183 0.6370
0.0662 0.8162 0.2500
0.3186 0.1817 0.7451
0.3186 0.5735 0.1370
0.3206 0.5706 0.7500
0.6794 0.4294 0.2500
0.6814 0.4265 0.8630
0.6814 0.8183 0.2549
0.9338 0.1838 0.7500
0.9366 0.1817 0.3630
0.9366 0.5735 0.7549
```

The 10 most intense peaks (2θ = 5–70°), most intense first:
d/Å, I_rel
3.255, 100
3.203, 94
3.232, 76
3.782, 68
1.891, 64
2.080, 40
3.059, 36
1.616, 32
1.389, 30
3.844, 28